# 1
For MgCu2O2, a GGA-PBE-relaxed structure gives the simulated powder diffraction line list in this record (Cu Kα (weighted mean of Kα1 and Kα2)).
Kinematic intensities with the Lorentz-polarization factor, no thermal factor.

Largest 10 diffraction maxima, sorted by position, 2θ from 10° to 90°:
6.156 Å, intensity 90.9; 3.037 Å, intensity 48.0; 2.682 Å, intensity 92.4; 2.618 Å, intensity 100.0; 2.283 Å, intensity 47.0; 2.052 Å, intensity 30.4; 1.829 Å, intensity 35.9; 1.788 Å, intensity 25.4; 1.641 Å, intensity 24.5; 1.511 Å, intensity 42.9

Atomic structure:
```
MgCu2O2
1.0
2.772 -1.829 0.000
2.772 1.829 0.000
-1.160 0.000 6.156
Mg Cu O
1 2 2
direct
0.000 0.000 0.000 Mg
0.241 0.241 0.628 Cu
0.560 0.560 0.373 Cu
0.095 0.095 0.326 O
0.340 0.340 0.930 O
```

***

# 2
For MgCu4O8, a GGA-PBE-relaxed structure gives the simulated powder diffraction line list in this record (Cu Kα (weighted mean of Kα1 and Kα2)).
Kinematic intensities with the Lorentz-polarization factor, no thermal factor.

Largest 10 diffraction maxima, sorted by position, 2θ from 10° to 90°:
6.963 Å, intensity 29.2; 5.079 Å, intensity 100.0; 3.539 Å, intensity 12.4; 3.482 Å, intensity 16.8; 2.542 Å, intensity 7.3; 2.483 Å, intensity 7.3; 2.321 Å, intensity 12.4; 2.153 Å, intensity 7.3; 1.939 Å, intensity 7.5; 1.918 Å, intensity 7.4

Atomic structure:
```
MgCu4O8
1.0
5.452 0.000 0.000
-0.059 5.458 0.000
-2.657 -2.737 6.963
Mg Cu O
1 4 8
direct
0.000 0.000 0.000 Mg
0.410 0.158 0.323 Cu
0.839 0.084 0.677 Cu
0.839 0.587 0.677 Cu
0.913 0.158 0.324 Cu
0.051 0.324 0.648 O
0.092 0.877 0.757 O
0.120 0.905 0.241 O
0.124 0.332 0.244 O
0.600 0.318 0.649 O
0.667 0.874 0.758 O
0.672 0.946 0.351 O
0.680 0.398 0.353 O
```